Calculated XRD peak list
Compound: Lu3Ge7
Radiation: copper Kα
Structure: a structure optimized by DFT (GGA-PBE)

Peak list (6 most intense, 10 to 80 degrees two-theta, by angle)
| two_theta | d/Å | intensity |
| --- | --- | --- |
| 25.14 | 3.542 | 11 |
| 36.57 | 2.457 | 100 |
| 44.18 | 2.050 | 14 |
| 46.22 | 1.964 | 11 |
| 60.31 | 1.535 | 10 |
| 65.84 | 1.419 | 14 |

a = 3.9282 Å, b = 24.5844 Å, c = 4.1001 Å
α = 90.00°, β = 90.00°, γ = 90.00°
Space group Cmmm (No. 65)
One atom of each set of equivalent atoms:
Lu 0.0000 0.0000 0.0000
Lu 0.0000 0.3134 0.5000
Ge 0.0000 0.0936 0.5000
Ge 0.0000 0.2149 0.0000
Ge 0.0000 0.4047 0.0000
Ge 0.0000 0.5000 0.5000



Calculated XRD peak list
Compound: Lu4GeSN2
Radiation: copper Kα
Structure: a structure optimized by DFT (GGA-PBE)

Peak list (6 most intense, 10 to 80 degrees two-theta, by angle)
| two_theta | d/Å | intensity |
| --- | --- | --- |
| 29.87 | 2.991 | 27 |
| 30.66 | 2.916 | 22 |
| 36.38 | 2.469 | 100 |
| 53.03 | 1.727 | 27 |
| 66.01 | 1.415 | 18 |
| 69.32 | 1.356 | 14 |

a = 3.4539 Å, b = 3.4539 Å, c = 13.1290 Å
α = 90.00°, β = 90.00°, γ = 120.00°
Space group P-6m2 (No. 187)
One atom of each set of equivalent atoms:
Lu 0.0000 0.0000 0.1400
Lu 0.3333 0.6667 0.3345
Ge 0.0000 0.0000 0.5000
S 0.3333 0.6667 0.0000
N 0.6667 0.3333 0.2351



Calculated XRD peak list
Compound: Lu2Ta4Ge3N3
Radiation: copper Kα
Structure: a structure optimized by DFT (GGA-PBE)

Peak list (6 most intense, 10 to 80 degrees two-theta, by angle)
| two_theta | d/Å | intensity |
| --- | --- | --- |
| 13.66 | 6.482 | 18 |
| 31.67 | 2.825 | 23 |
| 37.92 | 2.373 | 48 |
| 38.06 | 2.365 | 100 |
| 41.81 | 2.161 | 21 |
| 56.21 | 1.637 | 21 |

a = 9.7695 Å, b = 5.6789 Å, c = 13.3654 Å
α = 90.00°, β = 104.07°, γ = 90.00°
Space group C2/c (No. 15)
One atom of each set of equivalent atoms:
Lu 0.0453 0.0817 0.3919
Ta 0.1123 0.4212 0.5819
Ta 0.2202 0.4168 0.9178
Ge 0.0000 0.4947 0.2500
Ge 0.1998 0.1167 0.7503
N 0.0792 0.2366 0.0001
N 0.2500 0.2500 0.5000



Calculated XRD peak list
Compound: Lu2TaNbGe2
Radiation: copper Kα
Structure: a structure optimized by DFT (GGA-PBE)

Peak list (6 most intense, 10 to 80 degrees two-theta, by angle)
| two_theta | d/Å | intensity |
| --- | --- | --- |
| 32.36 | 2.767 | 52 |
| 33.72 | 2.658 | 100 |
| 35.21 | 2.549 | 36 |
| 39.58 | 2.277 | 78 |
| 45.24 | 2.004 | 56 |
| 58.59 | 1.576 | 34 |

a = 4.0089 Å, b = 4.0089 Å, c = 7.6457 Å
α = 90.00°, β = 90.00°, γ = 90.00°
Space group P-4m2 (No. 115)
One atom of each set of equivalent atoms:
Lu 0.0000 0.5000 0.1495
Ta 0.5000 0.5000 0.5000
Nb 0.0000 0.0000 0.5000
Ge 0.0000 0.5000 0.7547



Calculated XRD peak list
Compound: YLuNb2Ge2
Radiation: copper Kα
Structure: a structure optimized by DFT (GGA-PBE)

Peak list (6 most intense, 10 to 80 degrees two-theta, by angle)
| two_theta | d/Å | intensity |
| --- | --- | --- |
| 32.03 | 2.794 | 59 |
| 33.56 | 2.670 | 100 |
| 34.64 | 2.590 | 35 |
| 39.26 | 2.295 | 94 |
| 45.09 | 2.011 | 64 |
| 58.08 | 1.588 | 31 |

a = 4.0215 Å, b = 4.0215 Å, c = 7.7688 Å
α = 90.00°, β = 90.00°, γ = 90.00°
Space group P4mm (No. 99)
One atom of each set of equivalent atoms:
Y 0.0000 0.0000 0.0000
Lu 0.5000 0.5000 0.7046
Nb 0.0000 0.5000 0.3571
Ge 0.0000 0.0000 0.6066
Ge 0.5000 0.5000 0.1076



Calculated XRD peak list
Compound: NdLuGe
Radiation: copper Kα
Structure: a structure optimized by DFT (GGA-PBE)

Peak list (6 most intense, 10 to 80 degrees two-theta, by angle)
| two_theta | d/Å | intensity |
| --- | --- | --- |
| 21.98 | 4.043 | 53 |
| 36.28 | 2.476 | 100 |
| 42.83 | 2.112 | 28 |
| 52.25 | 1.751 | 18 |
| 57.35 | 1.607 | 12 |
| 65.27 | 1.430 | 36 |

a = 7.0032 Å, b = 7.0032 Å, c = 7.0032 Å
α = 90.00°, β = 90.00°, γ = 90.00°
Space group F-43m (No. 216)
One atom of each set of equivalent atoms:
Nd 0.0000 0.0000 0.0000
Lu 0.2500 0.2500 0.7500
Ge 0.0000 0.0000 0.5000



Calculated XRD peak list
Compound: NdLuZn2Ge2
Radiation: copper Kα
Structure: a structure optimized by DFT (GGA-PBE)

Peak list (6 most intense, 10 to 80 degrees two-theta, by angle)
| two_theta | d/Å | intensity |
| --- | --- | --- |
| 24.15 | 3.685 | 16 |
| 33.25 | 2.694 | 100 |
| 42.49 | 2.127 | 46 |
| 55.00 | 1.670 | 24 |
| 64.37 | 1.447 | 20 |
| 71.88 | 1.313 | 21 |

a = 4.2546 Å, b = 4.2546 Å, c = 15.8001 Å
α = 90.00°, β = 90.00°, γ = 120.00°
Space group P6_3/mmc (No. 194)
One atom of each set of equivalent atoms:
Nd 0.0000 0.0000 0.2500
Lu 0.0000 0.0000 0.0000
Zn 0.3333 0.6667 0.1381
Ge 0.3333 0.6667 0.6086



Calculated XRD peak list
Compound: TbLu2Ni4Ge4
Radiation: copper Kα
Structure: a structure optimized by DFT (GGA-PBE)

Peak list (6 most intense, 10 to 80 degrees two-theta, by angle)
| two_theta | d/Å | intensity |
| --- | --- | --- |
| 35.38 | 2.537 | 98 |
| 36.13 | 2.486 | 30 |
| 37.42 | 2.403 | 100 |
| 40.48 | 2.228 | 19 |
| 45.03 | 2.013 | 36 |
| 45.20 | 2.006 | 29 |

a = 4.0267 Å, b = 6.7388 Å, c = 13.3728 Å
α = 90.00°, β = 90.00°, γ = 90.00°
Space group Immm (No. 71)
One atom of each set of equivalent atoms:
Tb 0.0000 0.0000 0.0000
Lu 0.0000 0.5000 0.1291
Ni 0.0000 0.3032 0.3226
Ge 0.0000 0.0000 0.2187
Ge 0.0000 0.1915 0.5000